This entry pairs a crystal structure of Sr2Mg with its simulated PXRD pattern. Radiation: λ = 1.5418 Å (Cu Kα). Structure: a DFT-relaxed cell (PBE, the Materials Project).
Neutral-atom scattering factors, no anomalous dispersion.

Structural model:
Cell lengths 14.483, 4.256, 8.767 Å; angles 90.00, 101.37, 90.00 degrees
Positions (direct):
Sr: 0.000 0.000 0.000
Sr: 0.045 0.000 0.548
Sr: 0.202 0.500 0.289
Sr: 0.329 0.000 0.662
Sr: 0.500 0.500 0.000
Sr: 0.545 0.500 0.548
Sr: 0.702 0.000 0.289
Sr: 0.829 0.500 0.662
Mg: 0.213 0.500 0.891
Mg: 0.391 0.000 0.245
Mg: 0.713 0.000 0.891
Mg: 0.891 0.500 0.245

Top 6 peaks for 2θ from 10° to 90°, in order of falling intensity:
(1 1 -2), d 3.046, I 100
(3 1 0), d 3.165, I 77
(2 0 2), d 3.392, I 35
(1 1 1), d 3.605, I 26
(2 2 2), d 1.803, I 18
(4 0 1), d 3.074, I 18